For MnH8C2S2N2O4, a DFT-relaxed cell (GGA+U, the Materials Project) gives the theoretical powder diffraction line list in this record (Cu Kα).

Atomic structure:
```
data_MnH8C2S2N2O4
_symmetry_space_group_name_H-M 'P 1 21/c 1'
_symmetry_Int_Tables_number 14
_cell_length_a 8.0683
_cell_length_b 9.2096
_cell_length_c 7.6560
_cell_angle_alpha 90.00
_cell_angle_beta 114.11
_cell_angle_gamma 90.00
loop_
_symmetry_equiv_pos_as_xyz
'x,y,z'
'-x,-y,-z'
'-x,y+1/2,-z+1/2'
'x,-y+1/2,z+1/2'
loop_
_atom_site_label
_atom_site_fract_x
_atom_site_fract_y
_atom_site_fract_z
Mn1 0.0000 0.0000 0.0000
H1 0.1267 0.1965 0.3265
H2 0.2017 0.0389 0.3934
H3 0.2492 0.0570 0.8388
H4 0.3287 0.1215 0.0446
C1 0.2755 0.7151 0.1393
S1 0.4042 0.5709 0.1822
N1 0.1811 0.6814 0.6055
O1 0.1062 0.0931 0.2904
O2 0.2152 0.1174 0.9265
```

Main lines, sorted by position (2θ = 10–90°):
- (1 0 0), 2θ = 12.02°, rel. 45
- (0 1 1), 2θ = 15.92°, rel. 69
- (1 1 -1), 2θ = 16.54°, rel. 69
- (0 2 0), 2θ = 19.28°, rel. 47
- (1 1 1), 2θ = 22.95°, rel. 100
- (1 0 -2), 2θ = 23.30°, rel. 55
- (2 1 -1), 2θ = 24.26°, rel. 92
- (0 1 2), 2θ = 27.30°, rel. 64
- (2 2 0), 2θ = 31.10°, rel. 42
- (2 3 0), 2θ = 38.14°, rel. 46



For NaMnH3C3O6, a DFT-relaxed cell (GGA+U, the Materials Project) gives the theoretical powder diffraction line list in this record (Cu Kα).

Atomic structure:
```
data_NaMnH3C3O6
_symmetry_space_group_name_H-M 'P 21 3'
_symmetry_Int_Tables_number 198
_symmetry_space_group_name_Hall 'P 2ac 2ab 3'
_cell_length_a 9.4278
_cell_length_b 9.4278
_cell_length_c 9.4278
_cell_angle_alpha 90.00
_cell_angle_beta 90.00
_cell_angle_gamma 90.00
loop_
_atom_site_label
_atom_site_fract_x
_atom_site_fract_y
_atom_site_fract_z
Na1 0.1859 0.1859 0.1859
Mn1 0.1364 0.8636 0.3636
H1 0.0318 0.2046 0.7572
C1 0.0368 0.2374 0.8702
O1 0.0648 0.6527 0.2836
O2 0.0748 0.7924 0.5790
```

Main lines, sorted by position (2θ = 10–90°):
- (1 1 0), 2θ = 13.28°, rel. 100
- (1 1 1), 2θ = 16.28°, rel. 8
- (2 1 0), 2θ = 21.07°, rel. 11
- (2 1 1), 2θ = 23.11°, rel. 10
- (3 0 1), 2θ = 29.97°, rel. 27
- (3 2 1), 2θ = 35.63°, rel. 18
- (4 1 1), 2θ = 40.60°, rel. 19
- (4 2 1), 2θ = 44.01°, rel. 9
- (4 3 1), 2θ = 49.28°, rel. 7
- (5 0 2), 2θ = 52.25°, rel. 9